Structure and theoretical X-ray diffraction stick pattern of ScAl2 (the PBE geometry in the Materials Project; Cu Kα (weighted mean of Kα1 and Kα2)).

The 6 most intense peaks (5° ≤ 2θ ≤ 70°), low angle first:
2θ (°), Rel. int.
20.3, 11
33.4, 471
39.4, 1000
41.2, 250
59.7, 150
63.7, 296

```
ScAl2
1.0
0.0000 3.7931 3.7931
3.7931 0.0000 3.7931
3.7931 3.7931 0.0000
Sc Al
2 4
Cartesian
0.9483 0.9483 0.9483
6.6380 6.6380 6.6380
3.7931 1.8966 1.8966
1.8966 3.7931 1.8966
1.8966 1.8966 3.7931
3.7931 3.7931 3.7931
```

---

Structure and theoretical X-ray diffraction stick pattern of Li4CO4 (the PBE geometry in the Materials Project; Cu Kα (weighted mean of Kα1 and Kα2)).

The 10 most intense peaks (5° ≤ 2θ ≤ 70°), low angle first:
2θ (°), Rel. int.
20.4, 1000
25.4, 372
26.1, 272
38.4, 298
41.5, 142
41.9, 181
48.3, 98
53.5, 152
64.1, 88
67.4, 110

```
Li4CO4
1.0
2.7785 1.6042 3.4131
-2.7785 1.6042 3.4131
0.0000 -3.2083 3.4131
Li C O
4 1 4
Cartesian
0.0000 0.0000 0.0000
-1.3406 -0.7740 4.6145
1.3406 -0.7740 4.6145
0.0000 1.5480 4.6145
0.0000 0.0000 2.2794
0.0000 -1.3447 1.7817
-1.1645 0.6723 1.7817
0.0000 0.0000 3.6483
1.1645 0.6723 1.7817
```